[1]
This entry pairs a crystal structure of Cs2NdAlS4 with its calculated powder diffractogram. Radiation: Cu Kα (λ = 1.5418 Å). Structure: DFT lattice parameters and positions (PBE).
Peak positions follow from Bragg's law for the DFT cell and can differ from measured ones.

The 12 most intense peaks (10° ≤ 2θ ≤ 90°), by angle:
two_theta	d (Å)	I_rel
13.45	6.584	39
15.45	5.734	52
22.67	3.922	47
23.09	3.852	54
23.61	3.769	100
24.21	3.676	35
25.02	3.559	33
28.51	3.131	88
30.43	2.938	53
34.66	2.588	46
42.73	2.116	39
46.66	1.947	31

Cell and atoms:
a b c (Å): 15.082 13.553 8.020
angles (deg): 84.58 63.46 31.97
Element x y z (fractional)
Cs1 0.055 0.055 0.695
Cs2 0.305 0.305 0.945
Cs3 0.695 0.695 0.055
Cs4 0.945 0.945 0.305
Nd1 0.125 0.125 0.125
Nd2 0.875 0.875 0.875
Al1 0.375 0.375 0.375
Al2 0.625 0.625 0.625
S1 0.027 0.626 0.536
S2 0.312 0.536 0.626
S3 0.374 0.973 0.688
S4 0.464 0.688 0.973
S5 0.536 0.312 0.027
S6 0.626 0.027 0.312
S7 0.688 0.464 0.374
S8 0.973 0.374 0.464



[2]
This entry pairs a crystal structure of Cs2NpAlS4 with its calculated powder diffractogram. Radiation: Cu Kα (λ = 1.5418 Å). Structure: DFT lattice parameters and positions (PBE).
Peak positions follow from Bragg's law for the DFT cell and can differ from measured ones.

The 12 most intense peaks (10° ≤ 2θ ≤ 90°), by angle:
two_theta	d (Å)	I_rel
13.60	6.511	48
13.93	6.356	30
15.66	5.659	79
22.95	3.875	51
23.36	3.809	60
23.87	3.729	100
24.45	3.641	36
28.84	3.096	78
30.84	2.899	51
35.13	2.555	45
43.26	2.091	40
47.20	1.926	35

Cell and atoms:
a b c (Å): 14.920 13.400 7.939
angles (deg): 84.61 63.40 31.99
Element x y z (fractional)
Cs1 0.053 0.053 0.697
Cs2 0.303 0.303 0.947
Cs3 0.697 0.697 0.053
Cs4 0.947 0.947 0.303
Np1 0.125 0.125 0.125
Np2 0.875 0.875 0.875
Al1 0.375 0.375 0.375
Al2 0.625 0.625 0.625
S1 0.020 0.631 0.542
S2 0.306 0.542 0.631
S3 0.369 0.980 0.694
S4 0.458 0.694 0.980
S5 0.542 0.306 0.020
S6 0.631 0.020 0.306
S7 0.694 0.458 0.369
S8 0.980 0.369 0.458